Structure and calculated powder XRD pattern of Tm7Ni2Pd2 (a DFT-relaxed cell (GGA-PBE, Alexandria); CuKα).

Structure:
abc: 3.6549 15.1652 9.3149
angles: 90.00 90.00 90.00
Space group Imm2 (No. 44)
One atom of each set of equivalent atoms:
Tm 0.0000 0.0000 0.0000 (multiplicity 2)
Tm 0.0000 0.1174 0.3902 (multiplicity 4)
Tm 0.0000 0.3057 0.5947 (multiplicity 4)
Tm 0.0000 0.3716 0.2400 (multiplicity 4)
Ni 0.0000 0.2406 0.8892 (multiplicity 4)
Pd 0.0000 0.0000 0.6353 (multiplicity 2)
Pd 0.0000 0.5000 0.7284 (multiplicity 2)

Largest 8 diffraction maxima, in order of rising 2θ, 10 to 90 degrees two-theta:
| Position (°2θ) | intensity | h k l |
| --- | --- | --- |
| 29.36 | 255 | 0 1 3 |
| 31.01 | 375 | 0 5 1 |
| 31.67 | 518 | 1 1 2 |
| 33.88 | 473 | 0 3 3 |
| 35.45 | 1000 | 1 4 1 |
| 35.93 | 399 | 1 3 2 |
| 39.91 | 248 | 1 2 3 |
| 49.89 | 295 | 2 0 0 |

Structure and calculated powder XRD pattern of Mg4Ag (a DFT-relaxed cell (GGA-PBE, Alexandria); CuKα).

Structure:
abc: 7.7872 7.7872 3.4556
angles: 90.00 90.00 90.00
Space group I4/m (No. 87)
One atom of each set of equivalent atoms:
Mg 0.0857 0.7172 0.0000 (multiplicity 8)
Ag 0.0000 0.0000 0.5000 (multiplicity 2)

Largest 8 diffraction maxima, in order of rising 2θ, 10 to 90 degrees two-theta:
| Position (°2θ) | intensity | h k l |
| --- | --- | --- |
| 16.10 | 605 | 1 1 0 |
| 22.84 | 244 | 2 0 0 |
| 28.25 | 222 | 1 0 1 |
| 36.49 | 440 | 3 1 0 |
| 36.64 | 1000 | 1 2 1 |
| 52.56 | 161 | 2 4 0 |
| 65.77 | 254 | 4 3 1 |
| 66.06 | 142 | 3 1 2 |